No. 1
The following is a computed powder diffractogram of Ac6LaPrY2. It was derived from a crystal structure in Alexandria, relaxed with PBE, using Cu Ka.

Structural model:
```
Ac6LaPrY2
1.0
5.9986 -3.7639 0.0000
5.9986 3.7639 0.0000
-2.3954 0.0000 9.2114
Ac La Pr Y
6 1 1 2
Direct
0.0978 0.5781 0.2002
0.1412 0.1412 0.4208
0.4219 0.9022 0.7998
0.5781 0.0978 0.2002
0.8588 0.8588 0.5792
0.9022 0.4219 0.7998
0.5000 0.5000 0.5000
0.0000 0.0000 0.0000
0.4076 0.4076 0.8394
0.5924 0.5924 0.1606
```

Most intense lines, 15 to 90 degrees two-theta, by angle:
25.5 deg, I 45
27.6 deg, I 36
28.3 deg, I 21
28.6 deg, I 100
29.3 deg, I 30
29.7 deg, I 21
30.6 deg, I 73
31.2 deg, I 27
32.0 deg, I 27
52.3 deg, I 25

=====

No. 2
The following is a computed powder diffractogram of LiAg2HAu. It was derived from a crystal structure in Alexandria, relaxed with PBE, using Cu Ka.

Structural model:
```
LiAg2HAu
1.0
4.0916 0.0000 0.0000
0.0000 4.0916 0.0000
0.0000 0.0000 4.2154
Li Ag H Au
1 2 1 1
Direct
0.0000 0.0000 0.0000
0.0000 0.5000 0.5000
0.5000 0.0000 0.5000
0.0000 0.0000 0.5000
0.5000 0.5000 0.0000
```

Most intense lines, 15 to 90 degrees two-theta, by angle:
21.7 deg, I 40
30.4 deg, I 37
37.7 deg, I 100
42.9 deg, I 18
44.3 deg, I 32
54.7 deg, I 14
63.4 deg, I 21
75.2 deg, I 13
77.1 deg, I 24
80.5 deg, I 11

=====

No. 3
The following is a computed powder diffractogram of AlRh2Se. It was derived from a crystal structure in Alexandria, relaxed with PBE, using Cu Ka.

Structural model:
```
AlRh2Se
1.0
6.2069 0.0000 0.0000
0.0000 6.2069 0.0000
0.0000 0.0000 6.2069
Al Rh Se
4 8 4
Direct
0.0000 0.0000 0.0000
0.0000 0.5000 0.5000
0.5000 0.0000 0.5000
0.5000 0.5000 0.0000
0.2500 0.2500 0.2500
0.2500 0.2500 0.7500
0.2500 0.7500 0.2500
0.2500 0.7500 0.7500
0.7500 0.2500 0.2500
0.7500 0.2500 0.7500
0.7500 0.7500 0.2500
0.7500 0.7500 0.7500
0.0000 0.0000 0.5000
0.0000 0.5000 0.0000
0.5000 0.0000 0.0000
0.5000 0.5000 0.5000
```

Most intense lines, 15 to 90 degrees two-theta, by angle:
24.8 deg, I 7
28.8 deg, I 14
41.1 deg, I 100
48.7 deg, I 3
51.0 deg, I 4
59.6 deg, I 16
65.6 deg, I 1
67.5 deg, I 5
75.0 deg, I 33
89.3 deg, I 11

=====

No. 4
The following is a computed powder diffractogram of Tb2DyGa3. It was derived from a crystal structure in Alexandria, relaxed with PBE, using Cu Ka.

Structural model:
```
Tb2DyGa3
1.0
5.0591 0.0000 0.0000
-2.5295 4.3813 0.0000
0.0000 0.0000 12.4327
Tb Dy Ga
4 2 6
Direct
0.0000 0.0000 0.0000
0.0000 0.0000 0.5000
0.3333 0.6667 0.1672
0.6667 0.3333 0.8328
0.3333 0.6667 0.6667
0.6667 0.3333 0.3333
0.0000 0.0000 0.2504
0.0000 0.0000 0.7496
0.3333 0.6667 0.4170
0.3333 0.6667 0.9164
0.6667 0.3333 0.0836
0.6667 0.3333 0.5830
```

Most intense lines, 15 to 90 degrees two-theta, by angle:
24.9 deg, I 17
35.4 deg, I 100
43.8 deg, I 4
51.0 deg, I 18
63.5 deg, I 9
63.7 deg, I 27
74.9 deg, I 6
75.1 deg, I 6
85.7 deg, I 8
85.9 deg, I 8

=====

No. 5
The following is a computed powder diffractogram of UTl3I8. It was derived from a crystal structure in Alexandria, relaxed with PBE, using Cu Ka.

Structural model:
```
UTl3I8
1.0
8.0441 0.0000 0.0000
0.0000 8.0441 0.0000
0.0000 0.0000 8.0441
U Tl I
1 3 8
Direct
0.0000 0.0000 0.0000
0.0000 0.5000 0.5000
0.5000 0.0000 0.5000
0.5000 0.5000 0.0000
0.2288 0.2288 0.2288
0.2288 0.2288 0.7712
0.2288 0.7712 0.2288
0.2288 0.7712 0.7712
0.7712 0.2288 0.2288
0.7712 0.2288 0.7712
0.7712 0.7712 0.2288
0.7712 0.7712 0.7712
```

Most intense lines, 15 to 90 degrees two-theta, by angle:
19.1 deg, I 49
31.5 deg, I 100
37.1 deg, I 28
45.1 deg, I 17
49.4 deg, I 13
56.0 deg, I 34
59.7 deg, I 10
65.7 deg, I 10
69.1 deg, I 9
74.6 deg, I 12

=====

No. 6
The following is a computed powder diffractogram of K4ZrO4. It was derived from a crystal structure in Alexandria, relaxed with PBE, using Cu Ka.

Structural model:
```
K4ZrO4
1.0
6.6162 0.0000 0.0000
2.5401 6.1398 0.0000
3.1484 0.3976 9.4639
K Zr O
8 2 8
Direct
0.0189 0.2669 0.4386
0.1075 0.7257 0.1757
0.2594 0.2389 0.0164
0.4529 0.2318 0.6085
0.5471 0.7682 0.3915
0.7406 0.7611 0.9836
0.8925 0.2743 0.8243
0.9811 0.7331 0.5614
0.3432 0.7220 0.7564
0.6568 0.2780 0.2436
0.1518 0.5344 0.8054
0.2055 0.9662 0.6292
0.3453 0.4578 0.3588
0.3496 0.8453 0.9247
0.6504 0.1547 0.0753
0.6547 0.5422 0.6412
0.7945 0.0338 0.3708
0.8482 0.4656 0.1946
```

Most intense lines, 15 to 90 degrees two-theta, by angle:
15.4 deg, I 61
28.1 deg, I 50
28.7 deg, I 97
29.1 deg, I 93
29.2 deg, I 91
32.5 deg, I 100
33.2 deg, I 98
34.7 deg, I 90
48.4 deg, I 41
49.5 deg, I 59